K2HF: theoretical powder diffraction line list (Cu Ka), based on a structure optimized by DFT (PBE).
Neutral-atom scattering factors, no anomalous dispersion.

Structure:
a = 7.058 Å, b = 7.058 Å, c = 7.058 Å
α = 31.33°, β = 31.33°, γ = 31.33°
Positions (direct):
K 0.000 0.000 0.000
K 0.164 0.164 0.164
H 0.583 0.583 0.583
F 0.415 0.415 0.415

Main lines, sorted by position (15 to 90 degrees two-theta):
2θ 26.6, intensity 34
2θ 27.4, intensity 100
2θ 28.5, intensity 33
2θ 32.4, intensity 40
2θ 35.2, intensity 87
2θ 41.7, intensity 54
2θ 45.3, intensity 18
2θ 47.7, intensity 50
2θ 55.5, intensity 22
2θ 75.5, intensity 20